(1)
Theoretical powder diffraction line list of La2DyHoTh for λ = 1.5418 Å (Cu Kα), from DFT lattice parameters and positions (GGA-PBE).
Neutral-atom scattering factors, no anomalous dispersion.

Largest 12 diffraction maxima, low angle first, 10 to 90 degrees two-theta:
d (Å)	2theta	intensity	h k l
4.327	20.53	540	2 0 0
3.217	27.73	490	1 0 -2
2.984	29.95	1000	1 2 0
2.881	31.04	864	3 0 0
2.870	31.16	413	1 1 -2
2.824	31.68	370	0 1 2
2.786	32.13	288	1 2 -1
2.634	34.03	571	3 1 -1
2.562	35.03	409	2 2 0
2.531	35.46	540	1 1 2
2.273	39.65	451	3 1 -2
1.709	53.63	337	2 3 -2

Cell and atoms:
a = 8.9058 Å, b = 6.3574 Å, c = 6.4888 Å
α = 90.00°, β = 103.68°, γ = 90.00°
Space group P2/c (No. 13)
Inequivalent atoms, fractional coordinates:
La1 0.1843 0.1962 0.3226 [4 per cell]
Dy1 0.5000 0.0272 0.7500 [2 per cell]
Ho1 0.0000 0.3295 0.7500 [2 per cell]
Th1 0.5000 0.5000 0.0000 [2 per cell]

***

(2)
Theoretical powder diffraction line list of K4Ba for λ = 1.5418 Å (Cu Kα), from DFT lattice parameters and positions (GGA-PBE).
Neutral-atom scattering factors, no anomalous dispersion.

Largest 12 diffraction maxima, low angle first, 10 to 90 degrees two-theta:
d (Å)	2theta	intensity	h k l
4.095	21.70	117	1 1 1
3.918	22.69	102	1 1 3
3.810	23.35	284	0 0 10
3.714	23.96	266	0 2 0
3.624	24.57	1000	1 1 5
2.659	33.70	212	0 2 10
2.162	41.78	224	1 1 15
2.126	42.52	213	1 3 5
2.076	43.61	98	2 0 10
1.812	50.36	125	2 2 10
1.669	55.02	141	1 3 15
1.399	66.90	101	1 5 5

Cell and atoms:
a = 4.9502 Å, b = 7.4273 Å, c = 38.1003 Å
α = 90.00°, β = 90.00°, γ = 90.00°
Space group Fmmm (No. 69)
Inequivalent atoms, fractional coordinates:
K1 0.0000 0.0000 0.0988 [8 per cell]
K2 0.0000 0.0000 0.3000 [8 per cell]
Ba1 0.0000 0.0000 0.5000 [4 per cell]

***

(3)
Theoretical powder diffraction line list of Ti8GaSi2 for λ = 1.5418 Å (Cu Kα), from DFT lattice parameters and positions (GGA-PBE).
Neutral-atom scattering factors, no anomalous dispersion.

Largest 12 diffraction maxima, low angle first, 10 to 90 degrees two-theta:
d (Å)	2theta	intensity	h k l
2.574	34.85	125	1 1 -2
2.321	38.80	1000	5 1 -1
2.271	39.69	983	1 1 2
2.187	41.29	380	4 0 -3
2.171	41.59	190	5 1 -2
2.129	42.46	76	6 0 0
2.049	44.21	415	0 2 0
1.791	50.99	180	6 0 1
1.495	62.08	205	4 2 -3
1.348	69.74	124	6 2 1
1.229	77.70	111	5 3 -1
1.221	78.28	156	1 3 2

Cell and atoms:
a = 14.0793 Å, b = 4.0976 Å, c = 6.7477 Å
α = 90.00°, β = 114.86°, γ = 90.00°
Space group C2/m (No. 12)
Inequivalent atoms, fractional coordinates:
Ti1 0.0355 0.0000 0.2557 [4 per cell]
Ti2 0.0954 0.5000 0.9509 [4 per cell]
Ti3 0.1647 0.0000 0.7377 [4 per cell]
Ti4 0.1767 0.5000 0.4115 [4 per cell]
Ga1 0.0000 0.5000 0.5000 [2 per cell]
Si1 0.2027 0.0000 0.1653 [4 per cell]